# 1
PrPd4Au6: calculated powder diffraction line list (a wavelength of 1.5418 Å), based on a GGA-PBE-relaxed structure.
Intensities are scaled so that the largest is 100.

Structural model:
Lattice parameters (Å, degrees): 7.028 7.028 7.028 123.32 123.32 84.34
Element x y z (fractional)
Pr1 0.000 0.000 0.000
Pd1 0.100 0.100 0.518
Pd2 0.418 0.900 0.000
Pd3 0.582 0.582 0.482
Pd4 0.900 0.418 0.000
Au1 0.000 0.500 0.500
Au2 0.238 0.552 0.000
Au3 0.448 0.448 0.686
Au4 0.500 0.000 0.500
Au5 0.552 0.238 0.000
Au6 0.762 0.762 0.314

Top 10 peaks for 5° ≤ 2θ ≤ 70°, by intensity:
2θ/deg  I (rel.)
44.11  100
31.85  84
31.18  84
38.15  75
39.83  69
17.02  69
39.52  66
41.52  64
46.43  56
42.04  55

=====

# 2
Pm3Pr8Tm4: calculated powder diffraction line list (a wavelength of 1.5418 Å), based on a GGA-PBE-relaxed structure.
Intensities are scaled so that the largest is 100.

Structural model:
Lattice parameters (Å, degrees): 9.279 9.279 6.906 110.29 110.29 83.54
Element x y z (fractional)
Pm1 0.000 0.000 0.000
Pm2 0.000 0.500 0.500
Pm3 0.500 0.000 0.500
Pr1 0.204 0.204 0.667
Pr2 0.207 0.793 0.500
Pr3 0.254 0.746 0.000
Pr4 0.258 0.258 0.194
Pr5 0.742 0.742 0.806
Pr6 0.746 0.254 0.000
Pr7 0.793 0.207 0.500
Pr8 0.796 0.796 0.333
Tm1 0.000 0.500 0.000
Tm2 0.500 0.000 0.000
Tm3 0.500 0.500 0.000
Tm4 0.500 0.500 0.500

Top 10 peaks for 5° ≤ 2θ ≤ 70°, by intensity:
2θ/deg  I (rel.)
29.17  100
28.89  81
41.52  65
29.65  39
33.58  29
32.68  28
25.81  23
30.21  23
59.80  17
42.29  15

=====

# 3
CrCoB4: calculated powder diffraction line list (a wavelength of 1.5418 Å), based on a GGA-PBE-relaxed structure.
Intensities are scaled so that the largest is 100.

Structural model:
Lattice parameters (Å, degrees): 5.777 10.996 3.024 90.00 90.00 90.00
Element x y z (fractional)
Cr1 0.117 0.139 0.000
Cr2 0.383 0.639 0.000
Cr3 0.617 0.361 0.000
Cr4 0.883 0.861 0.000
Co1 0.136 0.410 0.000
Co2 0.364 0.910 0.000
Co3 0.636 0.090 0.000
Co4 0.864 0.590 0.000
B1 0.009 0.701 0.500
B2 0.117 0.553 0.500
B3 0.131 0.970 0.500
B4 0.200 0.812 0.500
B5 0.300 0.312 0.500
B6 0.369 0.470 0.500
B7 0.383 0.053 0.500
B8 0.491 0.201 0.500
B9 0.509 0.799 0.500
B10 0.617 0.947 0.500
B11 0.631 0.530 0.500
B12 0.700 0.688 0.500
B13 0.800 0.188 0.500
B14 0.869 0.030 0.500
B15 0.883 0.447 0.500
B16 0.991 0.299 0.500

Top 10 peaks for 5° ≤ 2θ ≤ 70°, by intensity:
2θ/deg  I (rel.)
44.13  100
50.28  86
32.04  75
29.54  75
44.54  68
39.73  62
32.57  54
47.38  35
61.31  26
36.19  21

=====

# 4
SrAc2ZnO5: calculated powder diffraction line list (a wavelength of 1.5418 Å), based on a GGA-PBE-relaxed structure.
Intensities are scaled so that the largest is 100.

Structural model:
Lattice parameters (Å, degrees): 7.681 7.681 7.681 124.79 124.79 81.88
Element x y z (fractional)
Sr1 0.250 0.250 0.000
Sr2 0.750 0.750 0.000
Ac1 0.173 0.673 0.846
Ac2 0.327 0.173 0.500
Ac3 0.673 0.827 0.500
Ac4 0.827 0.327 0.154
Zn1 0.250 0.750 0.500
Zn2 0.750 0.250 0.500
O1 0.000 0.000 0.000
O2 0.010 0.214 0.500
O3 0.214 0.714 0.205
O4 0.286 0.490 0.500
O5 0.490 0.990 0.205
O6 0.500 0.500 0.000
O7 0.510 0.010 0.795
O8 0.714 0.510 0.500
O9 0.786 0.286 0.795
O10 0.990 0.786 0.500

Top 10 peaks for 5° ≤ 2θ ≤ 70°, by intensity:
2θ/deg  I (rel.)
29.09  100
29.44  91
36.56  90
15.27  56
30.82  40
48.54  35
53.67  28
53.93  28
58.55  27
40.06  20